Record 1
Computed PXRD pattern
Compound: CuRh6
Radiation: Cu Kα (λ = 1.5418 Å)
Structure: a GGA-PBE-relaxed structure

The 10 most intense peaks (2θ = 10–90°), low angle first:
(hkl)  2θ/deg  intensity
1 1 1  26.93  19
2 0 1  36.84  86
1 1 3  41.05  100
0 0 4  43.59  25
2 1 2  45.33  59
2 0 3  48.51  36
2 2 0  50.58  25
3 1 0  57.06  18
3 1 4  74.45  27
3 3 3  88.64  19

Crystal structure
```
data_CuRh6
_symmetry_space_group_name_H-M 'P 4/n b m'
_symmetry_Int_Tables_number 125
_cell_length_a 5.1045
_cell_length_b 5.1045
_cell_length_c 8.3050
_cell_angle_alpha 90.00
_cell_angle_beta 90.00
_cell_angle_gamma 90.00
loop_
_symmetry_equiv_pos_as_xyz
'x,y,z'
'-x,-y,-z'
'-y+1/2,x,z'
'y+1/2,-x,-z'
'-x+1/2,-y+1/2,z'
'x+1/2,y+1/2,-z'
'y,-x+1/2,z'
'-y,x+1/2,-z'
'x,-y+1/2,-z'
'-x,y+1/2,z'
'-y+1/2,-x+1/2,-z'
'y+1/2,x+1/2,z'
'-x+1/2,y,-z'
'x+1/2,-y,z'
'y,x,-z'
'-y,-x,z'
loop_
_atom_site_label
_atom_site_fract_x
_atom_site_fract_y
_atom_site_fract_z
Cu1 0.2500 0.7500 0.0000
Rh1 0.0713 0.5713 0.3591
Rh2 0.2500 0.2500 0.1432
```

Record 2
Computed PXRD pattern
Compound: CuRh8
Radiation: Cu Kα (λ = 1.5418 Å)
Structure: a GGA-PBE-relaxed structure

The 8 most intense peaks (2θ = 10–90°), low angle first:
(hkl)  2θ/deg  intensity
1 1 0  15.40  1
2 0 0  21.85  1
3 0 1  40.77  100
3 3 0  47.43  48
6 0 0  69.33  30
6 3 1  83.63  24
3 0 3  83.74  12
6 0 2  88.31  11

Crystal structure
```
data_CuRh8
_symmetry_space_group_name_H-M 'I 4/m m m'
_symmetry_Int_Tables_number 139
_symmetry_space_group_name_Hall '-I 4 2'
_cell_length_a 8.1359
_cell_length_b 8.1359
_cell_length_c 3.8300
_cell_angle_alpha 90.00
_cell_angle_beta 90.00
_cell_angle_gamma 90.00
loop_
_atom_site_label
_atom_site_fract_x
_atom_site_fract_y
_atom_site_fract_z
Cu1 0.0000 0.0000 0.0000
Rh1 0.0000 0.3333 0.0000
Rh2 0.1677 0.1677 0.5000
```

Record 3
Computed PXRD pattern
Compound: Cu5Rh3
Radiation: Cu Kα (λ = 1.5418 Å)
Structure: a GGA-PBE-relaxed structure

The 10 most intense peaks (2θ = 10–90°), low angle first:
(hkl)  2θ/deg  intensity
2 2 1  41.91  100
0 4 0  48.34  16
0 0 2  48.88  16
4 0 0  49.12  15
0 4 2  71.19  10
4 4 0  71.38  9
4 0 2  71.81  9
2 6 1  85.77  11
2 2 3  86.59  11
6 2 1  86.95  11

Crystal structure
```
data_Cu5Rh3
_symmetry_space_group_name_H-M 'C m m m'
_symmetry_Int_Tables_number 65
_symmetry_space_group_name_Hall '-C 2 2'
_cell_length_a 7.4193
_cell_length_b 7.5319
_cell_length_c 3.7267
_cell_angle_alpha 90.00
_cell_angle_beta 90.00
_cell_angle_gamma 90.00
loop_
_atom_site_label
_atom_site_fract_x
_atom_site_fract_y
_atom_site_fract_z
Cu1 0.0000 0.0000 0.0000
Cu2 0.2438 0.0000 0.5000
Cu3 0.2500 0.2500 0.0000
Rh1 0.0000 0.2500 0.5000
Rh2 0.0000 0.5000 0.0000
```

Record 4
Computed PXRD pattern
Compound: Cu3Rh
Radiation: Cu Kα (λ = 1.5418 Å)
Structure: a GGA-PBE-relaxed structure

The 10 most intense peaks (2θ = 10–90°), low angle first:
(hkl)  2θ/deg  intensity
1 1 1  26.26  4
2 0 0  30.41  2
2 2 0  43.55  100
3 1 1  51.56  2
2 2 2  54.04  1
4 0 0  63.28  15
3 3 1  69.73  1
4 2 0  71.82  1
4 2 2  79.95  30
5 1 1  85.91  1

Crystal structure
```
data_Cu3Rh
_symmetry_space_group_name_H-M 'F m -3 m'
_symmetry_Int_Tables_number 225
_symmetry_space_group_name_Hall '-F 4 2 3'
_cell_length_a 5.8785
_cell_length_b 5.8785
_cell_length_c 5.8785
_cell_angle_alpha 90.00
_cell_angle_beta 90.00
_cell_angle_gamma 90.00
loop_
_atom_site_label
_atom_site_fract_x
_atom_site_fract_y
_atom_site_fract_z
Cu1 0.0000 0.0000 0.0000
Cu2 0.2500 0.2500 0.2500
Rh1 0.0000 0.0000 0.5000
```

Record 5
Computed PXRD pattern
Compound: Cu3Rh
Radiation: Cu Kα (λ = 1.5418 Å)
Structure: a GGA-PBE-relaxed structure

The 10 most intense peaks (2θ = 10–90°), low angle first:
(hkl)  2θ/deg  intensity
2 2 0  42.20  100
0 2 1  42.44  98
2 0 1  48.63  65
0 4 0  50.51  29
4 0 0  70.89  10
2 4 1  72.73  36
4 2 1  86.25  23
2 2 2  86.73  22
2 6 0  89.28  11
0 6 1  89.44  10

Crystal structure
```
data_Cu3Rh
_symmetry_space_group_name_H-M 'C m m m'
_symmetry_Int_Tables_number 65
_symmetry_space_group_name_Hall '-C 2 2'
_cell_length_a 5.3173
_cell_length_b 7.2274
_cell_length_c 2.6368
_cell_angle_alpha 90.00
_cell_angle_beta 90.00
_cell_angle_gamma 90.00
loop_
_atom_site_label
_atom_site_fract_x
_atom_site_fract_y
_atom_site_fract_z
Cu1 0.0000 0.0000 0.0000
Cu2 0.2500 0.2500 0.5000
Rh1 0.0000 0.5000 0.0000
```

Record 6
Computed PXRD pattern
Compound: Cu3Rh13
Radiation: Cu Kα (λ = 1.5418 Å)
Structure: a GGA-PBE-relaxed structure

The 10 most intense peaks (2θ = 10–90°), low angle first:
(hkl)  2θ/deg  intensity
2 2 2  40.92  100
0 0 4  47.49  16
4 0 0  47.60  16
0 4 0  47.73  16
4 0 4  69.51  10
4 4 0  69.66  20
2 2 6  83.86  12
6 2 2  84.02  12
2 6 2  84.21  12
4 4 4  88.71  11

Crystal structure
```
data_Cu3Rh13
_symmetry_space_group_name_H-M 'A m m 2'
_symmetry_Int_Tables_number 38
_symmetry_space_group_name_Hall 'A 2 -2'
_cell_length_a 7.6416
_cell_length_b 7.6217
_cell_length_c 7.6574
_cell_angle_alpha 90.00
_cell_angle_beta 90.00
_cell_angle_gamma 90.00
loop_
_atom_site_label
_atom_site_fract_x
_atom_site_fract_y
_atom_site_fract_z
Cu1 0.0000 0.0000 0.0000
Cu2 0.2478 0.0000 0.2392
Rh1 0.0000 0.0000 0.4934
Rh2 0.0000 0.2484 0.7455
Rh3 0.2496 0.0000 0.7442
Rh4 0.2499 0.2486 0.4919
Rh5 0.5000 0.0000 0.4906
Rh6 0.5000 0.0000 0.9924
Rh7 0.5000 0.2489 0.2421
```